Calculated XRD peak list of BaPuH2O6 for λ = 1.5418 Å (Cu Kα), from a cell relaxed with PBE.
No peak broadening, texture or thermal motion is included.

Atomic structure:
Cell lengths 5.257, 5.295, 6.397 Å; angles 65.82, 88.24, 65.36 degrees
Sites, in units of the cell vectors:
Ba  0.000  0.000  0.000
Pu  0.505  0.008  0.502
H  0.363  0.443  0.687
H  0.641  0.576  0.312
O  0.198  0.371  0.300
O  0.263  0.839  0.654
O  0.475  0.217  0.748
O  0.537  0.802  0.253
O  0.746  0.169  0.335
O  0.808  0.660  0.726

The 12 most intense peaks (2θ = 15–90°), by angle:
2θ/deg	I_rel
15.41	16
20.51	66
22.26	100
26.41	37
28.81	35
29.32	27
31.58	15
34.35	18
39.70	16
42.37	27
46.22	17
47.31	18

---

Calculated XRD peak list of CaLaZr for λ = 1.5418 Å (Cu Kα), from a cell relaxed with PBE.
No peak broadening, texture or thermal motion is included.

Atomic structure:
Cell lengths 18.398, 18.398, 18.398 Å; angles 10.96, 10.96, 10.96 degrees
Sites, in units of the cell vectors:
Ca  0.196  0.196  0.196
Ca  0.804  0.804  0.804
La  0.261  0.261  0.261
La  0.739  0.739  0.739
Zr  0.355  0.355  0.355
Zr  0.645  0.645  0.645

The 12 most intense peaks (2θ = 15–90°), by angle:
2θ/deg	I_rel
24.34	20
29.33	30
29.53	100
32.17	35
33.67	44
34.33	23
34.52	70
36.39	74
52.04	40
60.52	20
60.84	16
63.84	23

---

Calculated XRD peak list of Dy2P7Pd12 for λ = 1.5418 Å (Cu Kα), from a cell relaxed with PBE.
No peak broadening, texture or thermal motion is included.

Atomic structure:
Cell lengths 9.779, 9.779, 3.994 Å; angles 90.00, 90.00, 120.00 degrees
Sites, in units of the cell vectors:
Dy  0.333  0.667  0.250
Dy  0.667  0.333  0.750
P  0.000  0.000  0.000
P  0.120  0.414  0.749
P  0.294  0.880  0.749
P  0.414  0.294  0.251
P  0.586  0.706  0.749
P  0.706  0.120  0.251
P  0.880  0.586  0.251
Pd  0.064  0.622  0.751
Pd  0.105  0.854  0.260
Pd  0.146  0.251  0.260
Pd  0.251  0.105  0.740
Pd  0.378  0.442  0.751
Pd  0.442  0.064  0.249
Pd  0.558  0.936  0.751
Pd  0.622  0.558  0.249
Pd  0.749  0.895  0.260
Pd  0.854  0.749  0.740
Pd  0.895  0.146  0.740
Pd  0.936  0.378  0.249

The 12 most intense peaks (2θ = 15–90°), by angle:
2θ/deg	I_rel
27.87	15
35.95	100
39.07	7
44.76	7
45.41	16
46.75	9
49.31	18
54.13	7
62.52	10
69.27	12
77.68	12
83.48	8